Structure and computed PXRD pattern of K3Co2H9 (the PBE geometry in Alexandria; λ = 1.5418 Å (Cu Kα)).
Lines closer than 0.1° are merged.

Structure:
Lattice parameters (Å, degrees): 5.5557 5.5557 13.6568 90.00 90.00 120.00
Space group P6_3/mmc (No. 194)
One atom of each set of equivalent atoms:
K (0.0000, 0.0000, 0.2500)
K (0.3333, 0.6667, 0.0846)
Co (0.3333, 0.6667, 0.6688)
H (0.0687, 0.5344, 0.7500)
H (0.2128, 0.4256, 0.5986)

Most intense lines, 2θ = 10–90°, in order of rising 2θ:
index  d/Å  2θ (°)  I_rel
1 0 0  4.811  18.44  23
1 0 1  4.538  19.56  36
1 0 3  3.307  26.96  22
1 1 0  2.779  32.21  100
1 0 5  2.375  37.88  24
1 0 7  1.807  50.52  22